Theoretical X-ray powder pattern of FeAgSb2 for Cu Ka, from DFT lattice parameters and positions (PBE).

Cell and atoms:
a b c (Å): 4.6312 4.6312 6.4721
angles (deg): 109.43 109.43 40.53
Element x y z (fractional)
Fe 0.0000 0.0000 0.0000
Ag 0.6560 0.6560 0.3968
Sb 0.3031 0.3031 0.0766
Sb 0.4601 0.4601 0.6770

Main lines, in order of falling intensity (2θ = 5–70°):
29.93°, 2.985 Å, I 100; 30.55°, 2.927 Å, I 68; 39.56°, 2.278 Å, I 67; 35.22°, 2.548 Å, I 66; 41.58°, 2.172 Å, I 42; 42.15°, 2.144 Å, I 42; 66.46°, 1.407 Å, I 29; 31.66°, 2.826 Å, I 28